For Sm5Dy2Ir4, a crystal structure in Alexandria, relaxed with PBE gives the computed X-ray diffraction stick pattern in this record (λ = 1.5418 Å (Cu Kα)).
Peak positions follow from Bragg's law for the DFT cell and can differ from measured ones.

```
Sm5Dy2Ir4
1.0
12.133 -1.864 0.000
12.133 1.864 0.000
-1.325 0.000 6.869
Sm Dy Ir
5 2 4
Cartesian
0.000 0.000 0.000
6.246 0.000 1.545
7.840 0.000 5.367
15.101 0.000 1.503
16.695 0.000 5.324
9.688 0.000 2.098
13.252 0.000 4.771
2.672 0.000 6.435
10.534 0.000 4.702
12.406 0.000 2.167
20.269 0.000 0.434
```

Main lines, sorted by position (10 to 80 degrees two-theta):
2θ/deg  I/Imax
12.89  42
24.16  48
27.13  42
30.39  68
31.71  52
35.20  31
36.28  100
37.92  31
39.88  46
41.57  32
41.88  60
48.86  43